(1)
The following is a simulated powder diffraction line list of Ti3GaH. It was derived from a PBE-relaxed structure, using Cu Kα X-rays.

Structure:
a b c (Å): 7.370 7.370 5.150
angles (deg): 92.94 92.94 100.31
Positions (direct):
1 Ti 0.070 0.196 0.621
2 Ti 0.075 0.681 0.905
3 Ti 0.193 0.553 0.447
4 Ti 0.196 0.070 0.121
5 Ti 0.319 0.925 0.595
6 Ti 0.447 0.807 0.053
7 Ti 0.553 0.193 0.947
8 Ti 0.681 0.075 0.405
9 Ti 0.804 0.930 0.879
10 Ti 0.807 0.447 0.553
11 Ti 0.925 0.319 0.095
12 Ti 0.930 0.804 0.379
13 Ga 0.303 0.430 0.965
14 Ga 0.430 0.303 0.465
15 Ga 0.570 0.697 0.535
16 Ga 0.697 0.570 0.035
17 H 0.065 0.935 0.750
18 H 0.194 0.806 0.250
19 H 0.806 0.194 0.750
20 H 0.935 0.065 0.250

Top 10 peaks for 10 to 90 degrees two-theta, in order of rising 2θ:
- 35.0 deg, I 30.7
- 36.3 deg, I 28.9
- 38.2 deg, I 70.8
- 38.6 deg, I 31.7
- 40.5 deg, I 100.0
- 41.4 deg, I 32.1
- 41.9 deg, I 80.1
- 63.5 deg, I 17.4
- 66.0 deg, I 13.7
- 69.7 deg, I 18.2


(2)
The following is a simulated powder diffraction line list of Ti4Ga5H2. It was derived from a PBE-relaxed structure, using Cu Kα X-rays.

Structure:
a b c (Å): 8.517 8.517 8.517
angles (deg): 160.79 128.88 55.11
Positions (direct):
1 Ti 0.173 0.173 0.000
2 Ti 0.178 0.500 0.678
3 Ti 0.822 0.500 0.322
4 Ti 0.827 0.827 0.000
5 Ga 0.155 0.333 0.822
6 Ga 0.490 0.667 0.822
7 Ga 0.500 0.000 0.500
8 Ga 0.510 0.333 0.178
9 Ga 0.845 0.667 0.178
10 H 0.052 0.052 0.000
11 H 0.948 0.948 0.000

Top 10 peaks for 10 to 90 degrees two-theta, in order of rising 2θ:
- 35.7 deg, I 76.4
- 35.9 deg, I 52.7
- 36.3 deg, I 15.6
- 40.6 deg, I 49.6
- 41.0 deg, I 100.0
- 41.6 deg, I 28.5
- 50.6 deg, I 33.5
- 67.7 deg, I 20.6
- 77.1 deg, I 14.4
- 80.4 deg, I 25.0


(3)
The following is a simulated powder diffraction line list of Ti3Ga2H2. It was derived from a PBE-relaxed structure, using Cu Kα X-rays.

Structure:
a b c (Å): 5.267 7.354 5.312
angles (deg): 90.00 120.03 90.00
Positions (direct):
1 Ti 0.000 0.000 0.000
2 Ti 0.000 0.500 0.500
3 Ti 0.264 0.114 0.623
4 Ti 0.264 0.386 0.123
5 Ti 0.736 0.614 0.877
6 Ti 0.736 0.886 0.377
7 Ga 0.254 0.741 0.363
8 Ga 0.254 0.759 0.863
9 Ga 0.746 0.241 0.137
10 Ga 0.746 0.259 0.637
11 H 0.305 0.144 0.287
12 H 0.305 0.356 0.787
13 H 0.695 0.644 0.213
14 H 0.695 0.856 0.713

Top 10 peaks for 10 to 90 degrees two-theta, in order of rising 2θ:
- 22.9 deg, I 49.3
- 24.2 deg, I 24.1
- 31.2 deg, I 33.7
- 36.1 deg, I 26.6
- 39.5 deg, I 34.9
- 41.1 deg, I 69.5
- 41.3 deg, I 68.0
- 41.8 deg, I 100.0
- 42.0 deg, I 64.5
- 46.9 deg, I 36.1